# 1
Theoretical XRD peak list
Compound: Y3Zn9Co2
Radiation: CuKα
Structure: a DFT-relaxed cell (GGA-PBE, Alexandria)

Top 8 peaks for 10° ≤ 2θ ≤ 90°, low angle first:
d (Å), I_rel
2.545, 25
2.486, 100
2.445, 25
2.405, 18
2.306, 23
2.146, 46
1.994, 25
1.930, 30

Structural model:
```
Y3Zn9Co2
1.0
-2.1463 4.5820 6.1213
2.1463 -4.5820 6.1213
2.1463 4.5820 -6.1213
Y Zn Co
3 9 2
direct
0.0000 0.0000 0.0000 Y
0.3082 0.3082 0.0000 Y
0.6918 0.6918 0.0000 Y
0.0135 0.6552 0.3583 Zn
0.1577 0.8780 0.2797 Zn
0.2969 0.6552 0.6417 Zn
0.4017 0.1220 0.2797 Zn
0.5000 0.0000 0.5000 Zn
0.5983 0.8780 0.7203 Zn
0.7031 0.3448 0.3583 Zn
0.8423 0.1220 0.7203 Zn
0.9865 0.3448 0.6417 Zn
0.3255 0.5000 0.8255 Co
0.6745 0.5000 0.1745 Co
```

---

# 2
Theoretical XRD peak list
Compound: YZrCo4
Radiation: CuKα
Structure: a DFT-relaxed cell (GGA-PBE, Alexandria)

Top 8 peaks for 10° ≤ 2θ ≤ 90°, low angle first:
d (Å), I_rel
2.492, 42
2.125, 100
2.035, 28
1.762, 1
1.439, 14
1.357, 29
1.246, 23
1.115, 6

Structural model:
```
YZrCo4
1.0
0.0000 3.5247 3.5247
3.5247 0.0000 3.5247
3.5247 3.5247 0.0000
Y Zr Co
1 1 4
direct
0.0000 0.0000 0.0000 Y
0.7500 0.7500 0.7500 Zr
0.3753 0.3753 0.3753 Co
0.3753 0.3753 0.8741 Co
0.3753 0.8741 0.3753 Co
0.8741 0.3753 0.3753 Co
```

---

# 3
Theoretical XRD peak list
Compound: YZrCo10
Radiation: CuKα
Structure: a DFT-relaxed cell (GGA-PBE, Alexandria)

Top 8 peaks for 10° ≤ 2θ ≤ 90°, low angle first:
d (Å), I_rel
2.879, 29
2.422, 25
2.098, 32
2.066, 100
1.979, 31
1.853, 22
1.440, 18
1.318, 14

Structural model:
```
YZrCo10
1.0
3.9587 0.0000 0.0000
0.0000 4.8395 0.0000
0.0000 0.0000 8.3986
Y Zr Co
1 1 10
direct
0.0000 0.0000 0.0000 Y
0.0000 0.5000 0.5000 Zr
0.0000 0.0000 0.3421 Co
0.0000 0.0000 0.6579 Co
0.0000 0.5000 0.1778 Co
0.0000 0.5000 0.8222 Co
0.5000 0.0000 0.5000 Co
0.5000 0.2528 0.2551 Co
0.5000 0.2528 0.7449 Co
0.5000 0.5000 0.0000 Co
0.5000 0.7472 0.2551 Co
0.5000 0.7472 0.7449 Co
```